# Ho4UO10
Computed powder diffraction line list, Cu Kα (weighted mean of Kα1 and Kα2). Input: a DFT-relaxed cell (PBE, Alexandria).

Structure:
Cell lengths 8.5625, 8.5625, 5.2429 Å; angles 90.00, 90.00, 90.00 degrees
Space group I4/m (No. 87)
Symmetry-distinct sites (fractional):
Ho1 0.0990 0.2998 0.0000 x8
U1 0.0000 0.0000 0.5000 x2
O1 0.0000 0.5000 0.2500 x4
O2 0.0970 0.8100 0.2594 x16

Top 6 peaks for 10 to 90 degrees two-theta, in order of rising 2θ:
- 28.87°, d = 3.092 Å, intensity 100, (2 1 1)
- 33.08°, d = 2.708 Å, intensity 23, (1 3 0)
- 47.49°, d = 1.915 Å, intensity 18, (4 2 0)
- 48.32°, d = 1.883 Å, intensity 33, (1 3 2)
- 56.53°, d = 1.628 Å, intensity 31, (5 0 1)
- 58.01°, d = 1.590 Å, intensity 14, (2 1 3)

=====

# Cs3InBi3
Computed powder diffraction line list, Cu Kα (weighted mean of Kα1 and Kα2). Input: a DFT-relaxed cell (PBE, Alexandria).

Structure:
Cell lengths 14.1320, 5.8757, 17.3586 Å; angles 90.00, 113.84, 90.00 degrees
Space group C2/m (No. 12)
Symmetry-distinct sites (fractional):
Cs1 0.0207 0.0000 0.2713 x4
Cs2 0.1429 0.5000 0.1296 x4
Cs3 0.1779 0.0000 0.5798 x4
In1 0.1645 0.5000 0.9113 x4
Bi1 0.0309 0.5000 0.4250 x4
Bi2 0.1037 0.0000 0.9668 x4
Bi3 0.1750 0.5000 0.7317 x4

Top 6 peaks for 10 to 90 degrees two-theta, in order of rising 2θ:
- 16.58°, d = 5.347 Å, intensity 24, (1 1 -1)
- 24.39°, d = 3.650 Å, intensity 56, (3 1 -2)
- 25.60°, d = 3.479 Å, intensity 100, (1 1 3)
- 30.41°, d = 2.939 Å, intensity 88, (0 2 0)
- 31.34°, d = 2.854 Å, intensity 65, (3 1 -5)
- 43.55°, d = 2.078 Å, intensity 27, (4 2 1)

=====

# Ti3BeTe3
Computed powder diffraction line list, Cu Kα (weighted mean of Kα1 and Kα2). Input: a DFT-relaxed cell (PBE, Alexandria).

Structure:
Cell lengths 10.6401, 10.6401, 10.6401 Å; angles 90.00, 90.00, 90.00 degrees
Space group I4_132 (No. 214)
Symmetry-distinct sites (fractional):
Ti1 0.1084 0.3584 0.1250 x24
Be1 0.1250 0.1250 0.1250 x8
Te1 0.1194 0.1306 0.6250 x24

Top 6 peaks for 10 to 90 degrees two-theta, in order of rising 2θ:
- 29.07°, d = 3.072 Å, intensity 43, (2 2 2)
- 31.46°, d = 2.844 Å, intensity 38, (3 2 1)
- 33.69°, d = 2.660 Å, intensity 100, (4 0 0)
- 48.39°, d = 1.881 Å, intensity 67, (4 4 0)
- 60.26°, d = 1.536 Å, intensity 22, (4 4 4)
- 80.79°, d = 1.190 Å, intensity 25, (8 4 0)